1.
Diffraction record for Mn2PbN2. The powder XRD pattern is simulated, not measured: it uses the GGA-PBE geometry in Alexandria and CuKα.
Neutral-atom scattering factors, no anomalous dispersion.

The 10 most intense peaks (2θ = 15–90°), low angle first:
20.26°, I = 38
28.80°, I = 22
29.09°, I = 100
35.71°, I = 49
41.19°, I = 13
42.03°, I = 16
46.32°, I = 33
46.51°, I = 16
63.84°, I = 16
64.31°, I = 24

Crystal structure
Lattice parameters (Å, degrees): 6.140 6.140 6.140 119.37 119.37 91.10
Atoms (fractional coordinates):
Mn  0.141  0.641  0.783
Mn  0.359  0.141  0.500
Mn  0.641  0.859  0.500
Mn  0.859  0.359  0.217
Pb  0.250  0.250  0.000
Pb  0.750  0.750  0.000
N  0.153  0.347  0.500
N  0.347  0.847  0.193
N  0.653  0.153  0.807
N  0.847  0.653  0.500

=====

2.
Diffraction record for PrY3Rh. The powder XRD pattern is simulated, not measured: it uses the GGA-PBE geometry in Alexandria and CuKα.
Neutral-atom scattering factors, no anomalous dispersion.

The 10 most intense peaks (2θ = 15–90°), low angle first:
18.33°, I = 16
22.81°, I = 24
28.58°, I = 23
30.58°, I = 100
30.72°, I = 52
39.69°, I = 40
39.80°, I = 17
47.80°, I = 29
51.92°, I = 33
57.66°, I = 18

Crystal structure
Lattice parameters (Å, degrees): 7.653 6.579 6.247 90.00 90.00 90.00
Atoms (fractional coordinates):
Pr  0.000  0.147  0.000
Pr  0.500  0.853  0.500
Y  0.000  0.845  0.483
Y  0.248  0.319  0.493
Y  0.252  0.681  0.993
Y  0.500  0.155  0.983
Y  0.748  0.681  0.993
Y  0.752  0.319  0.493
Rh  0.000  0.507  0.742
Rh  0.500  0.493  0.242

=====

3.
Diffraction record for Pm3HoTh. The powder XRD pattern is simulated, not measured: it uses the GGA-PBE geometry in Alexandria and CuKα.
Neutral-atom scattering factors, no anomalous dispersion.

The 10 most intense peaks (2θ = 15–90°), low angle first:
28.18°, I = 56
29.66°, I = 89
29.99°, I = 44
32.49°, I = 57
33.76°, I = 100
35.23°, I = 41
38.25°, I = 30
40.38°, I = 23
51.04°, I = 24
62.32°, I = 23

Crystal structure
Lattice parameters (Å, degrees): 3.428 8.877 8.877 42.74 90.00 90.00
Atoms (fractional coordinates):
Pm  0.000  0.000  0.000
Pm  0.500  0.072  0.598
Pm  0.500  0.598  0.072
Ho  0.500  0.171  0.171
Th  0.000  0.650  0.650